[1]
# Tm6CoNi2
Calculated powder XRD pattern, CuKα. Input: a crystal structure in Alexandria, relaxed with PBE.
Peak positions follow from Bragg's law for the DFT cell and can differ from measured ones.

```
data_Tm6CoNi2
_cell_length_a 6.309
_cell_length_b 7.025
_cell_length_c 11.349
_cell_angle_alpha 90.00
_cell_angle_beta 122.74
_cell_angle_gamma 90.00
_symmetry_space_group_name_H-M 'P 1'
_symmetry_Int_Tables_number 1
loop_
_symmetry_equiv_pos_as_xyz
'x,y,z'
loop_
_atom_site_label
_atom_site_type_symbol
_atom_site_fract_x
_atom_site_fract_y
_atom_site_fract_z
Tm1 Tm 0.098 0.042 0.249
Tm2 Tm 0.098 0.458 0.749
Tm3 Tm 0.232 0.677 0.071
Tm4 Tm 0.232 0.823 0.571
Tm5 Tm 0.394 0.178 0.068
Tm6 Tm 0.394 0.322 0.568
Tm7 Tm 0.606 0.678 0.432
Tm8 Tm 0.606 0.822 0.932
Tm9 Tm 0.768 0.177 0.429
Tm10 Tm 0.768 0.323 0.929
Tm11 Tm 0.902 0.542 0.251
Tm12 Tm 0.902 0.958 0.751
Co1 Co 0.500 0.000 0.500
Co2 Co 0.500 0.500 0.000
Ni1 Ni 0.308 0.117 0.755
Ni2 Ni 0.308 0.383 0.255
Ni3 Ni 0.692 0.617 0.745
Ni4 Ni 0.692 0.883 0.245
```

Most intense lines, 5° ≤ 2θ ≤ 70°, in order of falling intensity:
- d = 2.825 Å, 2θ 31.68, rel. 100
- d = 2.862 Å, 2θ 31.26, rel. 72
- d = 2.877 Å, 2θ 31.08, rel. 60
- d = 2.743 Å, 2θ 32.65, rel. 54
- d = 2.914 Å, 2θ 30.68, rel. 43
- d = 2.592 Å, 2θ 34.61, rel. 38
- d = 2.196 Å, 2θ 41.11, rel. 37
- d = 2.618 Å, 2θ 34.26, rel. 31
- d = 1.627 Å, 2θ 56.58, rel. 30
- d = 2.571 Å, 2θ 34.90, rel. 29


[2]
# Tm2ZnCo2Ni5
Calculated powder XRD pattern, CuKα. Input: a crystal structure in Alexandria, relaxed with PBE.
Peak positions follow from Bragg's law for the DFT cell and can differ from measured ones.

```
data_Tm2ZnCo2Ni5
_cell_length_a 8.638
_cell_length_b 8.638
_cell_length_c 3.763
_cell_angle_alpha 90.00
_cell_angle_beta 90.00
_cell_angle_gamma 90.00
_symmetry_space_group_name_H-M 'P 1'
_symmetry_Int_Tables_number 1
loop_
_symmetry_equiv_pos_as_xyz
'x,y,z'
loop_
_atom_site_label
_atom_site_type_symbol
_atom_site_fract_x
_atom_site_fract_y
_atom_site_fract_z
Tm1 Tm 0.178 0.322 0.000
Tm2 Tm 0.322 0.822 0.000
Tm3 Tm 0.678 0.178 0.000
Tm4 Tm 0.822 0.678 0.000
Zn1 Zn 0.000 0.000 0.000
Zn2 Zn 0.500 0.500 0.000
Co1 Co 0.118 0.618 0.000
Co2 Co 0.382 0.118 0.000
Co3 Co 0.618 0.882 0.000
Co4 Co 0.882 0.382 0.000
Ni1 Ni 0.000 0.500 0.500
Ni2 Ni 0.063 0.793 0.500
Ni3 Ni 0.207 0.063 0.500
Ni4 Ni 0.293 0.563 0.500
Ni5 Ni 0.437 0.293 0.500
Ni6 Ni 0.500 0.000 0.500
Ni7 Ni 0.563 0.707 0.500
Ni8 Ni 0.707 0.437 0.500
Ni9 Ni 0.793 0.937 0.500
Ni10 Ni 0.937 0.207 0.500
```

Most intense lines, 5° ≤ 2θ ≤ 70°, in order of falling intensity:
- d = 2.211 Å, 2θ 40.82, rel. 100
- d = 2.095 Å, 2θ 43.18, rel. 59
- d = 2.696 Å, 2θ 33.24, rel. 50
- d = 2.021 Å, 2θ 44.85, rel. 36
- d = 1.882 Å, 2θ 48.37, rel. 33
- d = 2.371 Å, 2θ 37.94, rel. 32
- d = 1.400 Å, 2θ 66.83, rel. 31
- d = 2.036 Å, 2θ 44.50, rel. 22
- d = 2.837 Å, 2θ 31.53, rel. 18
- d = 3.763 Å, 2θ 23.64, rel. 13


[3]
# U2Co9Ni
Calculated powder XRD pattern, CuKα. Input: a crystal structure in Alexandria, relaxed with PBE.
Peak positions follow from Bragg's law for the DFT cell and can differ from measured ones.

```
data_U2Co9Ni
_cell_length_a 3.732
_cell_length_b 3.732
_cell_length_c 10.758
_cell_angle_alpha 90.00
_cell_angle_beta 90.00
_cell_angle_gamma 90.00
_symmetry_space_group_name_H-M 'P 1'
_symmetry_Int_Tables_number 1
loop_
_symmetry_equiv_pos_as_xyz
'x,y,z'
loop_
_atom_site_label
_atom_site_type_symbol
_atom_site_fract_x
_atom_site_fract_y
_atom_site_fract_z
U1 U 0.000 0.000 0.177
U2 U 0.000 0.000 0.823
Co1 Co 0.000 0.500 0.000
Co2 Co 0.000 0.500 0.349
Co3 Co 0.000 0.500 0.651
Co4 Co 0.500 0.000 0.000
Co5 Co 0.500 0.000 0.349
Co6 Co 0.500 0.000 0.651
Co7 Co 0.500 0.500 0.173
Co8 Co 0.500 0.500 0.500
Co9 Co 0.500 0.500 0.827
Ni1 Ni 0.000 0.000 0.500
```

Most intense lines, 5° ≤ 2θ ≤ 70°, in order of falling intensity:
- d = 2.125 Å, 2θ 42.53, rel. 100
- d = 1.866 Å, 2θ 48.81, rel. 38
- d = 3.732 Å, 2θ 23.84, rel. 22
- d = 2.586 Å, 2θ 34.69, rel. 17
- d = 1.793 Å, 2θ 50.93, rel. 13
- d = 10.758 Å, 2θ 8.22, rel. 12
- d = 3.586 Å, 2θ 24.83, rel. 10
- d = 3.066 Å, 2θ 29.12, rel. 10
- d = 2.639 Å, 2θ 33.97, rel. 9
- d = 2.369 Å, 2θ 37.98, rel. 9


[4]
# VCo4Ni2
Calculated powder XRD pattern, CuKα. Input: a crystal structure in Alexandria, relaxed with PBE.
Peak positions follow from Bragg's law for the DFT cell and can differ from measured ones.

```
data_VCo4Ni2
_cell_length_a 4.990
_cell_length_b 5.595
_cell_length_c 6.129
_cell_angle_alpha 111.47
_cell_angle_beta 90.32
_cell_angle_gamma 102.68
_symmetry_space_group_name_H-M 'P 1'
_symmetry_Int_Tables_number 1
loop_
_symmetry_equiv_pos_as_xyz
'x,y,z'
loop_
_atom_site_label
_atom_site_type_symbol
_atom_site_fract_x
_atom_site_fract_y
_atom_site_fract_z
V1 V 0.000 0.000 0.000
V2 V 0.420 0.714 0.585
Co1 Co 0.065 0.287 0.434
Co2 Co 0.137 0.578 0.868
Co3 Co 0.212 0.863 0.291
Co4 Co 0.356 0.433 0.146
Co5 Co 0.498 0.003 0.010
Co6 Co 0.568 0.290 0.428
Co7 Co 0.638 0.570 0.862
Co8 Co 0.852 0.429 0.148
Ni1 Ni 0.282 0.145 0.716
Ni2 Ni 0.710 0.859 0.290
Ni3 Ni 0.782 0.148 0.718
Ni4 Ni 0.923 0.714 0.573
```

Most intense lines, 5° ≤ 2θ ≤ 70°, in order of falling intensity:
- d = 2.043 Å, 2θ 44.34, rel. 100
- d = 1.770 Å, 2θ 51.63, rel. 41
- d = 2.036 Å, 2θ 44.51, rel. 33
- d = 1.763 Å, 2θ 51.87, rel. 20


[5]
# V6CoNi3
Calculated powder XRD pattern, CuKα. Input: a crystal structure in Alexandria, relaxed with PBE.
Peak positions follow from Bragg's law for the DFT cell and can differ from measured ones.

```
data_V6CoNi3
_cell_length_a 4.871
_cell_length_b 4.871
_cell_length_c 6.571
_cell_angle_alpha 105.61
_cell_angle_beta 105.61
_cell_angle_gamma 57.83
_symmetry_space_group_name_H-M 'P 1'
_symmetry_Int_Tables_number 1
loop_
_symmetry_equiv_pos_as_xyz
'x,y,z'
loop_
_atom_site_label
_atom_site_type_symbol
_atom_site_fract_x
_atom_site_fract_y
_atom_site_fract_z
V1 V 0.086 0.589 0.191
V2 V 0.145 0.145 0.422
V3 V 0.411 0.914 0.809
V4 V 0.589 0.086 0.191
V5 V 0.855 0.855 0.578
V6 V 0.914 0.411 0.809
Co1 Co 0.000 0.000 0.000
Ni1 Ni 0.404 0.404 0.811
Ni2 Ni 0.500 0.500 0.500
Ni3 Ni 0.596 0.596 0.189
```

Most intense lines, 5° ≤ 2θ ≤ 70°, in order of falling intensity:
- d = 2.031 Å, 2θ 44.62, rel. 100
- d = 2.026 Å, 2θ 44.74, rel. 60
- d = 1.984 Å, 2θ 45.73, rel. 59
- d = 2.007 Å, 2θ 45.19, rel. 56
- d = 2.175 Å, 2θ 41.52, rel. 53
- d = 2.314 Å, 2θ 38.93, rel. 45
- d = 2.037 Å, 2θ 44.48, rel. 34
- d = 2.084 Å, 2θ 43.41, rel. 31
- d = 1.854 Å, 2θ 49.14, rel. 28
- d = 1.881 Å, 2θ 48.39, rel. 25


[6]
# VCo2Ni6
Calculated powder XRD pattern, CuKα. Input: a crystal structure in Alexandria, relaxed with PBE.
Peak positions follow from Bragg's law for the DFT cell and can differ from measured ones.

```
data_VCo2Ni6
_cell_length_a 7.342
_cell_length_b 6.563
_cell_length_c 4.409
_cell_angle_alpha 81.44
_cell_angle_beta 62.13
_cell_angle_gamma 36.43
_symmetry_space_group_name_H-M 'P 1'
_symmetry_Int_Tables_number 1
loop_
_symmetry_equiv_pos_as_xyz
'x,y,z'
loop_
_atom_site_label
_atom_site_type_symbol
_atom_site_fract_x
_atom_site_fract_y
_atom_site_fract_z
V1 V 0.000 0.000 0.000
Co1 Co 0.329 0.329 0.671
Co2 Co 0.671 0.671 0.329
Ni1 Ni 0.002 0.669 0.331
Ni2 Ni 0.331 0.998 0.002
Ni3 Ni 0.338 0.662 0.338
Ni4 Ni 0.662 0.338 0.662
Ni5 Ni 0.669 0.002 0.998
Ni6 Ni 0.998 0.331 0.669
```

Most intense lines, 5° ≤ 2θ ≤ 70°, in order of falling intensity:
- d = 1.943 Å, 2θ 46.75, rel. 100
- d = 2.075 Å, 2θ 43.61, rel. 62
- d = 1.467 Å, 2θ 63.38, rel. 19
- d = 2.746 Å, 2θ 32.61, rel. 1
- d = 2.059 Å, 2θ 43.97, rel. 1